1.
Structure and computed PXRD pattern of Na3UO4 (the GGA-PBE geometry in the Materials Project; CuKα).
Kinematic intensities with the Lorentz-polarization factor, no thermal factor.

Structural model:
Unit cell a=6.844 b=9.390 c=3.499 alpha=90.00 beta=90.00 gamma=90.00
Space group Cmmm (No. 65)
Unique sites:
Na 0.000 0.000 0.000 (multiplicity 2)
Na 0.250 0.250 0.500 (multiplicity 4)
U 0.000 0.500 0.000 (multiplicity 2)
O 0.000 0.284 0.000 (multiplicity 4)
O 0.213 0.500 0.500 (multiplicity 4)

Most intense lines, 2θ = 15–90°, most intense first:
- (1 1 0), 2θ = 16.02°, I 100
- (1 1 1), 2θ = 30.22°, I 38
- (2 0 1), 2θ = 36.73°, I 37
- (0 2 0), 2θ = 18.90°, I 30
- (0 2 1), 2θ = 31.90°, I 23
- (2 2 0), 2θ = 32.37°, I 23
- (2 4 1), 2θ = 54.14°, I 22
- (2 2 1), 2θ = 41.62°, I 17
- (0 4 0), 2θ = 38.34°, I 16
- (1 3 0), 2θ = 31.43°, I 15
- (0 0 1), 2θ = 25.45°, I 15
- (2 0 0), 2θ = 26.04°, I 14

=====

2.
Structure and computed PXRD pattern of BPO4 (the GGA-PBE geometry in the Materials Project; CuKα).
Kinematic intensities with the Lorentz-polarization factor, no thermal factor.

Structural model:
Unit cell a=4.5478 b=4.5478 c=10.0560 alpha=90.00 beta=90.00 gamma=120.00
Space group P3_121 (No. 152)
Unique sites:
B 0.0000 0.4702 0.1667 (multiplicity 3)
P 0.0000 0.4692 0.6667 (multiplicity 3)
O 0.1312 0.7252 0.2740 (multiplicity 6)
O 0.1439 0.7361 0.7787 (multiplicity 6)

Most intense lines, 2θ = 15–90°, most intense first:
- (0 1 2), 2θ = 28.79°, I 100
- (1 0 0), 2θ = 22.58°, I 18
- (1 0 1), 2θ = 24.27°, I 13
- (1 1 0), 2θ = 39.64°, I 11
- (1 1 4), 2θ = 54.40°, I 11
- (0 1 4), 2θ = 42.67°, I 10
- (1 2 2), 2θ = 65.38°, I 9
- (2 0 6), 2θ = 74.32°, I 6
- (1 2 4), 2θ = 74.01°, I 5
- (2 0 2), 2θ = 49.72°, I 5
- (1 1 2), 2θ = 43.69°, I 5
- (0 2 4), 2θ = 59.64°, I 5

=====

3.
Structure and computed PXRD pattern of Li2TlAu (the GGA-PBE geometry in the Materials Project; CuKα).
Kinematic intensities with the Lorentz-polarization factor, no thermal factor.

Structural model:
Unit cell a=6.573 b=6.573 c=6.573 alpha=90.00 beta=90.00 gamma=90.00
Space group Fm-3m (No. 225)
Unique sites:
Li 0.250 0.250 0.250 (multiplicity 8)
Tl 0.000 0.000 0.000 (multiplicity 4)
Au 0.000 0.000 0.500 (multiplicity 4)

Most intense lines, 2θ = 15–90°, most intense first:
- (2 0 0), 2θ = 27.13°, I 100
- (2 2 0), 2θ = 38.75°, I 88
- (4 2 0), 2θ = 63.28°, I 39
- (4 2 2), 2θ = 70.15°, I 32
- (2 2 2), 2θ = 47.95°, I 29
- (6 0 0), 2θ = 89.46°, I 20
- (4 0 0), 2θ = 55.96°, I 15
- (4 4 0), 2θ = 83.14°, I 10

=====

4.
Structure and computed PXRD pattern of ScZnGaS4 (the GGA-PBE geometry in the Materials Project; CuKα).
Kinematic intensities with the Lorentz-polarization factor, no thermal factor.

Structural model:
Unit cell a=3.8236 b=3.8236 c=12.5088 alpha=90.00 beta=90.00 gamma=120.00
Space group P3m1 (No. 156)
Unique sites:
Sc 0.0000 0.0000 0.0000 (multiplicity 1)
Zn 0.3333 0.6667 0.7054 (multiplicity 1)
Ga 0.6667 0.3333 0.4282 (multiplicity 1)
S 0.0000 0.0000 0.3505 (multiplicity 1)
S 0.0000 0.0000 0.8114 (multiplicity 1)
S 0.6667 0.3333 0.0850 (multiplicity 1)
S 0.6667 0.3333 0.6056 (multiplicity 1)

Most intense lines, 2θ = 15–90°, most intense first:
- (1 0 2), 2θ = 30.55°, I 100
- (1 0 1), 2θ = 27.87°, I 98
- (1 1 0), 2θ = 47.56°, I 72
- (0 0 3), 2θ = 21.31°, I 66
- (0 1 6), 2θ = 51.82°, I 51
- (1 0 4), 2θ = 39.64°, I 46
- (1 0 5), 2θ = 45.44°, I 45
- (1 1 3), 2θ = 52.67°, I 31
- (0 1 3), 2θ = 34.59°, I 18
- (2 0 6), 2θ = 72.97°, I 17
- (0 2 2), 2θ = 57.59°, I 15
- (1 0 0), 2θ = 26.93°, I 13

=====

5.
Structure and computed PXRD pattern of Nd3Pd (the GGA-PBE geometry in the Materials Project; CuKα).
Kinematic intensities with the Lorentz-polarization factor, no thermal factor.

Structural model:
Unit cell a=4.545 b=4.545 c=11.014 alpha=90.00 beta=90.00 gamma=90.00
Space group I4/mmm (No. 139)
Unique sites:
Nd 0.000 0.000 0.000 (multiplicity 2)
Nd 0.000 0.500 0.250 (multiplicity 4)
Pd 0.000 0.000 0.500 (multiplicity 2)

Most intense lines, 2θ = 15–90°, most intense first:
- (1 1 2), 2θ = 32.25°, I 100
- (2 0 0), 2θ = 39.66°, I 28
- (2 0 4), 2θ = 52.19°, I 26
- (0 0 4), 2θ = 32.52°, I 24
- (3 1 2), 2θ = 67.33°, I 24
- (1 1 6), 2θ = 57.85°, I 19
- (3 1 6), 2θ = 85.88°, I 12
- (2 2 4), 2θ = 67.49°, I 12
- (2 2 0), 2θ = 57.34°, I 10
- (2 0 8), 2θ = 81.79°, I 7
- (4 0 0), 2θ = 85.45°, I 3
- (0 0 8), 2θ = 68.10°, I 3

=====

6.
Structure and computed PXRD pattern of Bi3SbO7 (the GGA-PBE geometry in the Materials Project; CuKα).
Kinematic intensities with the Lorentz-polarization factor, no thermal factor.

Structural model:
Unit cell a=6.695 b=7.034 c=7.705 alpha=73.75 beta=89.51 gamma=76.87
Space group P-1 (No. 2)
Unique sites:
Bi 0.017 0.492 0.245 (multiplicity 2)
Bi 0.233 0.008 0.623 (multiplicity 2)
Bi 0.242 0.959 0.133 (multiplicity 2)
Sb 0.500 0.500 0.000 (multiplicity 1)
Sb 0.500 0.500 0.500 (multiplicity 1)
O 0.033 0.157 0.858 (multiplicity 2)
O 0.036 0.128 0.321 (multiplicity 2)
O 0.224 0.442 0.980 (multiplicity 2)
O 0.224 0.444 0.554 (multiplicity 2)
O 0.390 0.801 0.461 (multiplicity 2)
O 0.393 0.802 0.885 (multiplicity 2)
O 0.405 0.572 0.232 (multiplicity 2)

Most intense lines, 2θ = 15–90°, most intense first:
- (2 1 0), 2θ = 27.59°, I 100
- (0 2 0), 2θ = 27.17°, I 100
- (1 0 2), 2θ = 28.49°, I 93
- (-1 1 2), 2θ = 28.60°, I 91
- (1 2 2), 2θ = 31.72°, I 53
- (1 1 -2), 2θ = 32.00°, I 52
- (2 -1 0), 2θ = 33.47°, I 45
- (0 1 4), 2θ = 47.18°, I 30
- (3 1 2), 2θ = 46.98°, I 29
- (1 -2 2), 2θ = 46.64°, I 27
- (-1 3 2), 2θ = 46.58°, I 27
- (2 0 -4), 2θ = 55.81°, I 27

=====

7.
Structure and computed PXRD pattern of SrMg6Ga (the GGA-PBE geometry in the Materials Project; CuKα).
Kinematic intensities with the Lorentz-polarization factor, no thermal factor.

Structural model:
Unit cell a=4.983 b=6.170 c=13.489 alpha=90.00 beta=90.00 gamma=90.00
Space group Amm2 (No. 38)
Unique sites:
Sr 0.000 0.000 0.000 (multiplicity 2)
Mg 0.000 0.242 0.736 (multiplicity 4)
Mg 0.500 0.000 0.169 (multiplicity 2)
Mg 0.500 0.000 0.597 (multiplicity 2)
Mg 0.500 0.246 0.374 (multiplicity 4)
Ga 0.000 0.000 0.418 (multiplicity 2)

Most intense lines, 2θ = 15–90°, most intense first:
- (1 2 2), 2θ = 36.77°, I 100
- (1 1 3), 2θ = 30.45°, I 58
- (1 0 4), 2θ = 32.05°, I 48
- (2 0 0), 2θ = 36.05°, I 43
- (0 2 2), 2θ = 31.90°, I 37
- (0 1 5), 2θ = 36.35°, I 31
- (1 0 0), 2θ = 17.80°, I 30
- (1 0 2), 2θ = 22.18°, I 26
- (2 2 2), 2θ = 48.89°, I 22
- (2 1 5), 2θ = 52.12°, I 21
- (1 1 5), 2θ = 40.75°, I 19
- (3 2 2), 2θ = 65.29°, I 18